Structure and computed PXRD pattern of BaPaBN3 (a crystal structure in Alexandria, relaxed with GGA-PBE; Cu Kα (weighted mean of Kα1 and Kα2)).
No peak broadening, texture or thermal motion is included.

Most intense lines, 10° ≤ 2θ ≤ 90°, low angle first:
hkl	2θ (°)	I/Imax
1 0 0	17.61	69.4
1 0 1	22.84	25.6
1 1 0	30.75	95.4
1 0 2	34.20	100.0
2 0 2	46.65	47.9
2 1 2	56.92	43.8
1 1 4	69.20	19.5
3 1 2	74.66	22.0

Structure:
```
data_BaPaBN3
_chemical_formula_sum 'Ba2 Pa2 B2 N6'
_symmetry_space_group_name_H-M 'P 1'
_symmetry_Int_Tables_number 1
_cell_length_a 5.8149
_cell_length_b 5.8149
_cell_length_c 6.1413
_cell_angle_alpha 90.00
_cell_angle_beta 90.00
_cell_angle_gamma 120.00
loop_
_symmetry_equiv_pos_as_xyz
'x,y,z'
loop_
_atom_site_label
_atom_site_fract_x
_atom_site_fract_y
_atom_site_fract_z
Ba1 0.3333 0.6667 0.2500
Ba2 0.6667 0.3333 0.7500
Pa1 0.0000 0.0000 0.0000
Pa2 0.0000 0.0000 0.5000
B1 0.3333 0.6667 0.7500
B2 0.6667 0.3333 0.2500
N1 0.1849 0.3698 0.7500
N2 0.1849 0.8151 0.7500
N3 0.3698 0.1849 0.2500
N4 0.6302 0.8151 0.7500
N5 0.8151 0.1849 0.2500
N6 0.8151 0.6302 0.2500
```